Record 1
Mg7Al3Ga: calculated powder XRD pattern (copper Kα), based on DFT lattice parameters and positions (GGA-PBE).

Structural model:
Lattice parameters (Å, degrees): 7.323 7.323 5.281 111.11 111.11 91.77
Sites, in units of the cell vectors:
Mg: 0.000 0.000 0.000
Mg: 0.101 0.555 0.328
Mg: 0.313 0.313 0.810
Mg: 0.445 0.899 0.672
Mg: 0.555 0.101 0.328
Mg: 0.687 0.687 0.190
Mg: 0.899 0.445 0.672
Al: 0.276 0.724 0.000
Al: 0.500 0.500 0.500
Al: 0.724 0.276 0.000
Ga: 0.000 0.000 0.500

Top 12 peaks for 2θ from 10° to 90°, by angle:
| 2θ/deg | I/Imax |
| --- | --- |
| 18.80 | 19 |
| 20.36 | 15 |
| 26.01 | 15 |
| 26.55 | 17 |
| 27.42 | 17 |
| 31.93 | 19 |
| 33.95 | 57 |
| 34.11 | 48 |
| 39.30 | 100 |
| 48.89 | 33 |
| 64.35 | 22 |
| 64.54 | 16 |

***

Record 2
Mg2Al3Ga: calculated powder XRD pattern (copper Kα), based on DFT lattice parameters and positions (GGA-PBE).

Structural model:
Lattice parameters (Å, degrees): 9.282 5.460 5.439 90.00 125.14 90.00
Sites, in units of the cell vectors:
Mg: 0.124 0.000 0.372
Mg: 0.376 0.500 0.628
Mg: 0.624 0.500 0.372
Mg: 0.876 0.000 0.628
Al: 0.000 0.500 0.000
Al: 0.250 0.250 0.000
Al: 0.250 0.750 0.000
Al: 0.500 0.000 0.000
Al: 0.750 0.250 0.000
Al: 0.750 0.750 0.000
Ga: 0.000 0.500 0.500
Ga: 0.500 0.000 0.500

Top 12 peaks for 2θ from 10° to 90°, by angle:
| 2θ/deg | I/Imax |
| --- | --- |
| 20.03 | 64 |
| 20.21 | 29 |
| 23.08 | 22 |
| 33.28 | 39 |
| 38.71 | 100 |
| 39.02 | 73 |
| 39.24 | 48 |
| 40.57 | 27 |
| 40.71 | 55 |
| 41.08 | 27 |
| 62.89 | 23 |
| 69.14 | 29 |

***

Record 3
MgAl6Ga2: calculated powder XRD pattern (copper Kα), based on DFT lattice parameters and positions (GGA-PBE).

Structural model:
Lattice parameters (Å, degrees): 6.619 6.619 6.364 108.21 108.21 36.31
Sites, in units of the cell vectors:
Mg: 0.000 0.000 0.000
Al: 0.114 0.114 0.659
Al: 0.227 0.227 0.334
Al: 0.329 0.329 0.999
Al: 0.671 0.671 0.001
Al: 0.773 0.773 0.666
Al: 0.886 0.886 0.341
Ga: 0.443 0.443 0.668
Ga: 0.557 0.557 0.332

Top 12 peaks for 2θ from 10° to 90°, by angle:
| 2θ/deg | I/Imax |
| --- | --- |
| 22.82 | 13 |
| 37.95 | 100 |
| 43.15 | 17 |
| 43.90 | 16 |
| 45.26 | 15 |
| 63.24 | 12 |
| 64.31 | 10 |
| 64.88 | 10 |
| 75.66 | 12 |
| 76.72 | 12 |
| 78.69 | 11 |
| 81.14 | 10 |

***

Record 4
Mg8Al3Ga3: calculated powder XRD pattern (copper Kα), based on DFT lattice parameters and positions (GGA-PBE).

Structural model:
Lattice parameters (Å, degrees): 7.696 7.696 6.987 91.08 91.08 131.93
Sites, in units of the cell vectors:
Mg: 0.069 0.418 0.165
Mg: 0.137 0.366 0.731
Mg: 0.366 0.137 0.731
Mg: 0.418 0.069 0.165
Mg: 0.582 0.931 0.835
Mg: 0.634 0.863 0.269
Mg: 0.863 0.634 0.269
Mg: 0.931 0.582 0.835
Al: 0.000 0.000 0.000
Al: 0.130 0.130 0.364
Al: 0.870 0.870 0.636
Ga: 0.251 0.749 0.500
Ga: 0.500 0.500 0.500
Ga: 0.749 0.251 0.500

Top 12 peaks for 2θ from 10° to 90°, by angle:
| 2θ/deg | I/Imax |
| --- | --- |
| 12.68 | 100 |
| 25.34 | 16 |
| 28.44 | 46 |
| 31.86 | 24 |
| 33.35 | 16 |
| 34.62 | 17 |
| 36.28 | 54 |
| 37.12 | 29 |
| 37.70 | 24 |
| 38.51 | 53 |
| 39.54 | 33 |
| 41.27 | 15 |

***

Record 5
Mg3AlGa4: calculated powder XRD pattern (copper Kα), based on DFT lattice parameters and positions (GGA-PBE).

Structural model:
Lattice parameters (Å, degrees): 9.928 5.910 5.143 90.00 90.00 90.00
Sites, in units of the cell vectors:
Mg: 0.000 0.000 0.000
Mg: 0.250 0.000 0.386
Mg: 0.250 0.500 0.366
Mg: 0.500 0.000 0.000
Mg: 0.750 0.000 0.614
Mg: 0.750 0.500 0.634
Al: 0.000 0.500 0.000
Al: 0.500 0.500 0.000
Ga: 0.000 0.260 0.500
Ga: 0.000 0.740 0.500
Ga: 0.250 0.258 0.875
Ga: 0.250 0.742 0.875
Ga: 0.500 0.260 0.500
Ga: 0.500 0.740 0.500
Ga: 0.750 0.258 0.125
Ga: 0.750 0.742 0.125

Top 12 peaks for 2θ from 10° to 90°, by angle:
| 2θ/deg | I/Imax |
| --- | --- |
| 24.93 | 38 |
| 30.24 | 16 |
| 34.89 | 13 |
| 36.08 | 22 |
| 36.20 | 66 |
| 39.46 | 17 |
| 39.58 | 100 |
| 47.83 | 13 |
| 62.65 | 12 |
| 67.35 | 23 |
| 74.54 | 14 |
| 74.75 | 14 |

***

Record 6
MgAl2Ga6: calculated powder XRD pattern (copper Kα), based on DFT lattice parameters and positions (GGA-PBE).

Structural model:
Lattice parameters (Å, degrees): 6.276 6.445 9.923 90.00 119.97 90.00
Sites, in units of the cell vectors:
Mg: 0.000 0.000 0.000
Mg: 0.000 0.500 0.500
Al: 0.403 0.102 0.856
Al: 0.403 0.398 0.356
Al: 0.597 0.602 0.644
Al: 0.597 0.898 0.144
Ga: 0.066 0.112 0.296
Ga: 0.066 0.388 0.796
Ga: 0.224 0.606 0.066
Ga: 0.224 0.894 0.566
Ga: 0.434 0.682 0.859
Ga: 0.434 0.818 0.359
Ga: 0.566 0.182 0.641
Ga: 0.566 0.318 0.141
Ga: 0.776 0.106 0.434
Ga: 0.776 0.394 0.934
Ga: 0.934 0.612 0.204
Ga: 0.934 0.888 0.704

Top 12 peaks for 2θ from 10° to 90°, by angle:
| 2θ/deg | I/Imax |
| --- | --- |
| 17.20 | 34 |
| 21.38 | 10 |
| 32.02 | 20 |
| 32.30 | 19 |
| 35.31 | 22 |
| 36.49 | 100 |
| 42.91 | 45 |
| 43.43 | 26 |
| 44.75 | 9 |
| 47.30 | 11 |
| 47.94 | 12 |
| 74.41 | 11 |

***

Record 7
MnAlGa4: calculated powder XRD pattern (copper Kα), based on DFT lattice parameters and positions (GGA-PBE).

Structural model:
Lattice parameters (Å, degrees): 6.658 6.658 6.658 122.99 122.99 84.89
Sites, in units of the cell vectors:
Mn: 0.250 0.250 0.000
Mn: 0.750 0.750 0.000
Al: 0.000 0.000 0.000
Al: 0.500 0.500 0.000
Ga: 0.014 0.514 0.814
Ga: 0.200 0.014 0.500
Ga: 0.300 0.800 0.814
Ga: 0.486 0.300 0.500
Ga: 0.514 0.700 0.500
Ga: 0.700 0.200 0.186
Ga: 0.800 0.986 0.500
Ga: 0.986 0.486 0.186

Top 12 peaks for 2θ from 10° to 90°, by angle:
| 2θ/deg | I/Imax |
| --- | --- |
| 18.06 | 24 |
| 32.81 | 95 |
| 36.58 | 15 |
| 41.92 | 32 |
| 42.10 | 100 |
| 45.12 | 57 |
| 46.74 | 30 |
| 67.12 | 15 |
| 70.61 | 17 |
| 74.15 | 24 |
| 75.55 | 21 |
| 87.96 | 15 |

***

Record 8
Mn2AlGa2: calculated powder XRD pattern (copper Kα), based on DFT lattice parameters and positions (GGA-PBE).

Structural model:
Lattice parameters (Å, degrees): 6.881 6.881 3.035 90.00 90.00 90.00
Sites, in units of the cell vectors:
Mn: 0.168 0.332 0.000
Mn: 0.332 0.832 0.000
Mn: 0.668 0.168 0.000
Mn: 0.832 0.668 0.000
Al: 0.000 0.000 0.500
Al: 0.500 0.500 0.500
Ga: 0.131 0.631 0.500
Ga: 0.369 0.131 0.500
Ga: 0.631 0.869 0.500
Ga: 0.869 0.369 0.500

Top 12 peaks for 2θ from 10° to 90°, by angle:
| 2θ/deg | I/Imax |
| --- | --- |
| 18.23 | 26 |
| 39.60 | 9 |
| 41.50 | 36 |
| 41.80 | 100 |
| 47.65 | 8 |
| 53.25 | 10 |
| 56.76 | 8 |
| 57.00 | 8 |
| 61.07 | 9 |
| 63.63 | 7 |
| 76.54 | 11 |
| 81.78 | 14 |

***

- Which formula does entry 4 have?
  Mg8Al3Ga3